Computed PXRD pattern of K2LiMoBr6 for Cu Ka, from the GGA-PBE geometry in the Materials Project.
Neutral-atom scattering factors, no anomalous dispersion.

The 10 most intense peaks (15 to 90 degrees two-theta), in order of rising 2θ:
| two_theta | d (Å) | Rel. int. |
| --- | --- | --- |
| 16.57 | 5.351 | 42.9 |
| 28.90 | 3.090 | 96.4 |
| 33.49 | 2.676 | 100.0 |
| 37.58 | 2.393 | 21.9 |
| 48.09 | 1.892 | 68.9 |
| 57.08 | 1.613 | 38.7 |
| 59.87 | 1.545 | 23.2 |
| 77.80 | 1.228 | 15.2 |
| 80.22 | 1.197 | 29.6 |
| 89.78 | 1.092 | 23.2 |

Structure:
```
K2LiMoBr6
1.0
0.0000 5.3512 5.3512
5.3512 0.0000 5.3512
5.3512 5.3512 0.0000
K Li Mo Br
2 1 1 6
Cartesian
2.6756 2.6756 2.6756
8.0269 8.0269 8.0269
0.0000 0.0000 0.0000
5.3512 5.3512 5.3512
5.3512 5.3512 2.7401
5.3512 2.7401 5.3512
7.9624 5.3512 5.3512
2.7401 5.3512 5.3512
5.3512 7.9624 5.3512
5.3512 5.3512 7.9624
```